# 1
Calculated powder diffraction line list of Pm3Ho4Tm5 for CuKα, from DFT lattice parameters and positions (GGA-PBE).

The 8 most intense peaks (2θ = 10–90°), low angle first:
d 3.070, 29.09°, I = 27.6
d 3.007, 29.71°, I = 37.3
d 2.934, 30.47°, I = 100.0
d 2.844, 31.46°, I = 34.3
d 2.777, 32.24°, I = 57.3
d 2.712, 33.03°, I = 68.5
d 2.698, 33.20°, I = 32.5
d 2.646, 33.88°, I = 60.0

Structure:
```
data_Pm3Ho4Tm5
_cell_length_a 15.8523
_cell_length_b 5.8679
_cell_length_c 9.2266
_cell_angle_alpha 90.00
_cell_angle_beta 116.20
_cell_angle_gamma 90.00
_symmetry_space_group_name_H-M 'C 1 2/m 1'
_symmetry_Int_Tables_number 12
loop_
_symmetry_equiv_pos_as_xyz
'x,y,z'
'-x,-y,-z'
'-x,y,-z'
'x,-y,z'
'x+1/2,y+1/2,z'
'-x+1/2,-y+1/2,-z'
'-x+1/2,y+1/2,-z'
'x+1/2,-y+1/2,z'
loop_
_atom_site_label
_atom_site_fract_x
_atom_site_fract_y
_atom_site_fract_z
Pm1 0.0000 0.0000 0.0000
Pm2 0.2089 0.5000 0.2325
Ho1 0.0818 0.5000 0.4416
Ho2 0.2088 0.5000 0.8776
Tm1 0.0000 0.5000 0.0000
Tm2 0.0726 0.0000 0.6962
Tm3 0.1722 0.0000 0.3872
```

=====

# 2
Calculated powder diffraction line list of Pm4Ho8Tm3 for CuKα, from DFT lattice parameters and positions (GGA-PBE).

The 8 most intense peaks (2θ = 10–90°), low angle first:
d 2.981, 29.97°, I = 23.6
d 2.938, 30.42°, I = 54.6
d 2.835, 31.56°, I = 100.0
d 2.476, 36.27°, I = 72.8
d 1.775, 51.49°, I = 23.1
d 1.728, 52.98°, I = 36.1
d 1.519, 60.98°, I = 16.9
d 1.490, 62.32°, I = 44.3

Structure:
```
data_Pm4Ho8Tm3
_cell_length_a 6.9137
_cell_length_b 6.9137
_cell_length_c 35.2613
_cell_angle_alpha 90.00
_cell_angle_beta 90.00
_cell_angle_gamma 120.00
_symmetry_space_group_name_H-M 'R -3 m'
_symmetry_Int_Tables_number 166
_symmetry_space_group_name_Hall '-R 3 2"'
loop_
_atom_site_label
_atom_site_fract_x
_atom_site_fract_y
_atom_site_fract_z
Pm1 0.0000 0.0000 0.0000
Pm2 0.0000 0.0000 0.1635
Pm3 0.0000 0.0000 0.5000
Ho1 0.0000 0.0000 0.2556
Ho2 0.0021 0.5010 0.2514
Tm1 0.0000 0.5000 0.0000
```

=====

# 3
Calculated powder diffraction line list of PmHo5Tm3 for CuKα, from DFT lattice parameters and positions (GGA-PBE).

The 8 most intense peaks (2θ = 10–90°), low angle first:
d 2.870, 31.16°, I = 11.3
d 2.818, 31.76°, I = 100.0
d 2.779, 32.21°, I = 98.7
d 1.979, 45.86°, I = 33.8
d 1.612, 57.15°, I = 32.6
d 1.605, 57.43°, I = 15.5
d 1.473, 63.11°, I = 19.2
d 1.246, 76.42°, I = 12.0

Structure:
```
data_PmHo5Tm3
_cell_length_a 16.6852
_cell_length_b 9.6220
_cell_length_c 6.9502
_cell_angle_alpha 90.00
_cell_angle_beta 90.00
_cell_angle_gamma 90.00
_symmetry_space_group_name_H-M 'C m c m'
_symmetry_Int_Tables_number 63
_symmetry_space_group_name_Hall '-C 2c 2'
loop_
_atom_site_label
_atom_site_fract_x
_atom_site_fract_y
_atom_site_fract_z
Pm1 0.0000 0.1947 0.2500
Ho1 0.0000 0.1409 0.7500
Ho2 0.1539 0.3466 0.7500
Ho3 0.1787 0.3212 0.2500
Tm1 0.0000 0.5000 0.0000
Tm2 0.1692 0.0000 0.0000
```

=====

# 4
Calculated powder diffraction line list of Pm3Ho3Tm2 for CuKα, from DFT lattice parameters and positions (GGA-PBE).

The 8 most intense peaks (2θ = 10–90°), low angle first:
d 2.986, 29.93°, I = 42.0
d 2.842, 31.48°, I = 59.6
d 2.816, 31.78°, I = 100.0
d 2.776, 32.25°, I = 98.1
d 2.613, 34.32°, I = 21.9
d 2.059, 43.98°, I = 29.6
d 1.636, 56.23°, I = 20.0
d 1.628, 56.53°, I = 20.0

Structure:
```
data_Pm3Ho3Tm2
_cell_length_a 16.2467
_cell_length_b 5.6846
_cell_length_c 5.9730
_cell_angle_alpha 90.00
_cell_angle_beta 110.37
_cell_angle_gamma 90.00
_symmetry_space_group_name_H-M 'C 1 2/m 1'
_symmetry_Int_Tables_number 12
loop_
_symmetry_equiv_pos_as_xyz
'x,y,z'
'-x,-y,-z'
'-x,y,-z'
'x,-y,z'
'x+1/2,y+1/2,z'
'-x+1/2,-y+1/2,-z'
'-x+1/2,y+1/2,-z'
'x+1/2,-y+1/2,z'
loop_
_atom_site_label
_atom_site_fract_x
_atom_site_fract_y
_atom_site_fract_z
Pm1 0.0000 0.0000 0.0000
Pm2 0.1351 0.0000 0.6978
Ho1 0.0000 0.5000 0.5000
Ho2 0.1332 0.5000 0.0809
Tm1 0.2497 0.0000 0.3177
```

=====

# 5
Calculated powder diffraction line list of Pm2Ho2Tm for CuKα, from DFT lattice parameters and positions (GGA-PBE).

The 8 most intense peaks (2θ = 10–90°), low angle first:
d 3.028, 29.50°, I = 31.0
d 2.896, 30.88°, I = 43.2
d 2.847, 31.42°, I = 100.0
d 2.606, 34.41°, I = 66.0
d 2.353, 38.25°, I = 22.1
d 1.788, 51.09°, I = 32.4
d 1.720, 53.26°, I = 26.0
d 1.521, 60.89°, I = 37.7

Structure:
```
data_Pm2Ho2Tm
_cell_length_a 6.1940
_cell_length_b 3.5755
_cell_length_c 14.4793
_cell_angle_alpha 90.00
_cell_angle_beta 90.05
_cell_angle_gamma 90.00
_symmetry_space_group_name_H-M 'C 1 2/m 1'
_symmetry_Int_Tables_number 12
loop_
_symmetry_equiv_pos_as_xyz
'x,y,z'
'-x,-y,-z'
'-x,y,-z'
'x,-y,z'
'x+1/2,y+1/2,z'
'-x+1/2,-y+1/2,-z'
'-x+1/2,y+1/2,-z'
'x+1/2,-y+1/2,z'
loop_
_atom_site_label
_atom_site_fract_x
_atom_site_fract_y
_atom_site_fract_z
Pm1 0.1673 0.0000 0.3960
Ho1 0.1667 0.0000 0.8052
Tm1 0.0000 0.5000 0.0000
```

=====

# 6
Calculated powder diffraction line list of Pm4Ho2Tm for CuKα, from DFT lattice parameters and positions (GGA-PBE).

The 8 most intense peaks (2θ = 10–90°), low angle first:
d 3.114, 28.67°, I = 16.8
d 2.946, 30.34°, I = 100.0
d 2.893, 30.91°, I = 31.1
d 2.831, 31.60°, I = 62.1
d 2.769, 32.33°, I = 34.0
d 2.756, 32.48°, I = 25.1
d 2.414, 37.24°, I = 25.8
d 1.801, 50.70°, I = 19.7

Structure:
```
data_Pm4Ho2Tm
_cell_length_a 11.9185
_cell_length_b 24.1426
_cell_length_c 6.4349
_cell_angle_alpha 90.00
_cell_angle_beta 90.00
_cell_angle_gamma 90.00
_symmetry_space_group_name_H-M 'F d d 2'
_symmetry_Int_Tables_number 43
_symmetry_space_group_name_Hall 'F 2 -2d'
loop_
_atom_site_label
_atom_site_fract_x
_atom_site_fract_y
_atom_site_fract_z
Pm1 0.0534 0.4300 0.0000
Pm2 0.0706 0.3564 0.4677
Ho1 0.0248 0.2846 0.9423
Tm1 0.0000 0.0000 0.0045
```

=====

# 7
Calculated powder diffraction line list of Pm10Ho6Tm for CuKα, from DFT lattice parameters and positions (GGA-PBE).

The 8 most intense peaks (2θ = 10–90°), low angle first:
d 2.901, 30.83°, I = 43.7
d 2.822, 31.71°, I = 79.1
d 2.811, 31.83°, I = 100.0
d 1.991, 45.55°, I = 26.2
d 1.869, 48.73°, I = 13.7
d 1.628, 56.55°, I = 24.1
d 1.621, 56.79°, I = 17.8
d 1.484, 62.58°, I = 11.2

Structure:
```
data_Pm10Ho6Tm
_cell_length_a 9.7741
_cell_length_b 9.7741
_cell_length_c 6.8735
_cell_angle_alpha 90.00
_cell_angle_beta 90.00
_cell_angle_gamma 120.00
_symmetry_space_group_name_H-M 'P -3 1 m'
_symmetry_Int_Tables_number 162
_symmetry_space_group_name_Hall '-P 3 2'
loop_
_atom_site_label
_atom_site_fract_x
_atom_site_fract_y
_atom_site_fract_z
Pm1 0.0000 0.2737 0.3145
Pm2 0.3333 0.6667 0.0000
Pm3 0.3333 0.6667 0.5000
Ho1 0.0000 0.3715 0.8074
Tm1 0.0000 0.0000 0.0000
```

=====

# 8
Calculated powder diffraction line list of Pm7Ho2Tm2 for CuKα, from DFT lattice parameters and positions (GGA-PBE).

The 8 most intense peaks (2θ = 10–90°), low angle first:
d 3.456, 25.78°, I = 41.5
d 3.001, 29.77°, I = 70.5
d 2.877, 31.08°, I = 63.5
d 2.731, 32.80°, I = 69.6
d 2.717, 32.96°, I = 100.0
d 2.673, 33.52°, I = 38.0
d 1.629, 56.51°, I = 40.7
d 1.498, 61.92°, I = 38.2

Structure:
```
data_Pm7Ho2Tm2
_cell_length_a 3.5851
_cell_length_b 18.1139
_cell_length_c 11.5084
_cell_angle_alpha 90.00
_cell_angle_beta 90.00
_cell_angle_gamma 90.00
_symmetry_space_group_name_H-M 'I m m 2'
_symmetry_Int_Tables_number 44
loop_
_symmetry_equiv_pos_as_xyz
'x,y,z'
'-x,-y,z'
'-x,y,z'
'x,-y,z'
'x+1/2,y+1/2,z+1/2'
'-x+1/2,-y+1/2,z+1/2'
'-x+1/2,y+1/2,z+1/2'
'x+1/2,-y+1/2,z+1/2'
loop_
_atom_site_label
_atom_site_fract_x
_atom_site_fract_y
_atom_site_fract_z
Pm1 0.0000 0.0000 0.0000
Pm2 0.0000 0.1192 0.5454
Pm3 0.0000 0.3297 0.3040
Pm4 0.0000 0.3384 0.7841
Ho1 0.0000 0.0000 0.3101
Ho2 0.0000 0.5000 0.2229
Tm1 0.0000 0.2135 0.0467
```

=====

# 9
Calculated powder diffraction line list of Pm6Ho7Tm16 for CuKα, from DFT lattice parameters and positions (GGA-PBE).

The 8 most intense peaks (2θ = 10–90°), low angle first:
d 3.014, 29.64°, I = 21.4
d 2.768, 32.34°, I = 100.0
d 2.647, 33.86°, I = 8.7
d 2.039, 44.44°, I = 9.1
d 1.957, 46.39°, I = 12.2
d 1.598, 57.68°, I = 22.1
d 1.574, 58.66°, I = 7.6
d 1.514, 61.22°, I = 8.5

Structure:
```
data_Pm6Ho7Tm16
_cell_length_a 15.6600
_cell_length_b 15.6600
_cell_length_c 15.6600
_cell_angle_alpha 90.00
_cell_angle_beta 90.00
_cell_angle_gamma 90.00
_symmetry_space_group_name_H-M 'F m -3 m'
_symmetry_Int_Tables_number 225
_symmetry_space_group_name_Hall '-F 4 2 3'
loop_
_atom_site_label
_atom_site_fract_x
_atom_site_fract_y
_atom_site_fract_z
Pm1 0.0000 0.0000 0.2188
Ho1 0.0000 0.0000 0.5000
Ho2 0.0000 0.2500 0.2500
Tm1 0.1228 0.1228 0.3772
Tm2 0.1542 0.1542 0.1542
```

=====

# 10
Calculated powder diffraction line list of Pm2Ho9Tm3 for CuKα, from DFT lattice parameters and positions (GGA-PBE).

The 8 most intense peaks (2θ = 10–90°), low angle first:
d 2.853, 31.35°, I = 42.4
d 2.826, 31.66°, I = 100.0
d 2.800, 31.97°, I = 36.2
d 2.776, 32.25°, I = 54.9
d 2.709, 33.07°, I = 48.5
d 2.634, 34.03°, I = 31.8
d 2.568, 34.93°, I = 40.2
d 1.863, 48.88°, I = 28.9

Structure:
```
data_Pm2Ho9Tm3
_cell_length_a 6.1564
_cell_length_b 8.6923
_cell_length_c 8.7172
_cell_angle_alpha 79.08
_cell_angle_beta 87.32
_cell_angle_gamma 77.65
_symmetry_space_group_name_H-M 'P -1'
_symmetry_Int_Tables_number 2
loop_
_symmetry_equiv_pos_as_xyz
'x,y,z'
'-x,-y,-z'
loop_
_atom_site_label
_atom_site_fract_x
_atom_site_fract_y
_atom_site_fract_z
Pm1 0.0429 0.2955 0.0298
Ho1 0.0121 0.0818 0.7479
Ho2 0.1527 0.5062 0.3354
Ho3 0.3126 0.1026 0.3827
Ho4 0.4131 0.3042 0.6862
Ho5 0.5000 0.5000 0.0000
Tm1 0.2455 0.7251 0.6189
Tm2 0.5000 0.0000 0.0000
```

=====

# 11
Calculated powder diffraction line list of Pm4Ho2Tm for CuKα, from DFT lattice parameters and positions (GGA-PBE).

The 8 most intense peaks (2θ = 10–90°), low angle first:
d 3.162, 28.22°, I = 52.1
d 3.110, 28.70°, I = 57.1
d 2.896, 30.88°, I = 59.2
d 2.859, 31.28°, I = 100.0
d 2.846, 31.43°, I = 66.9
d 2.818, 31.75°, I = 99.8
d 2.740, 32.69°, I = 83.7
d 2.723, 32.89°, I = 95.8

Structure:
```
data_Pm4Ho2Tm
_cell_length_a 6.2211
_cell_length_b 6.6162
_cell_length_c 11.5407
_cell_angle_alpha 90.00
_cell_angle_beta 104.62
_cell_angle_gamma 90.00
_symmetry_space_group_name_H-M 'P 1 21/m 1'
_symmetry_Int_Tables_number 11
loop_
_symmetry_equiv_pos_as_xyz
'x,y,z'
'-x,-y,-z'
'-x,y+1/2,-z'
'x,-y+1/2,z'
loop_
_atom_site_label
_atom_site_fract_x
_atom_site_fract_y
_atom_site_fract_z
Pm1 0.0452 0.2500 0.3661
Pm2 0.1503 0.2500 0.9509
Pm3 0.3518 0.5107 0.2152
Ho1 0.2883 0.7500 0.9213
Ho2 0.3888 0.7500 0.5064
Tm1 0.1496 0.2500 0.6643
```

=====

# 12
Calculated powder diffraction line list of Pm5Ho3Tm3 for CuKα, from DFT lattice parameters and positions (GGA-PBE).

The 8 most intense peaks (2θ = 10–90°), low angle first:
d 3.233, 27.59°, I = 94.1
d 2.928, 30.53°, I = 87.5
d 2.800, 31.96°, I = 54.8
d 2.688, 33.33°, I = 100.0
d 2.506, 35.83°, I = 73.7
d 2.170, 41.63°, I = 78.7
d 1.867, 48.79°, I = 49.4
d 1.462, 63.65°, I = 39.2

Structure:
```
data_Pm5Ho3Tm3
_cell_length_a 11.1924
_cell_length_b 11.1924
_cell_length_c 3.4361
_cell_angle_alpha 90.00
_cell_angle_beta 90.00
_cell_angle_gamma 120.00
_symmetry_space_group_name_H-M 'P -6 2 m'
_symmetry_Int_Tables_number 189
_symmetry_space_group_name_Hall 'P -6 -2'
loop_
_atom_site_label
_atom_site_fract_x
_atom_site_fract_y
_atom_site_fract_z
Pm1 0.0000 0.6615 0.0000
Pm2 0.3333 0.6667 0.0000
Ho1 0.0000 0.4044 0.5000
Tm1 0.0000 0.1592 0.0000
```

=====

# 13
Calculated powder diffraction line list of PmHo2V for CuKα, from DFT lattice parameters and positions (GGA-PBE).

The 8 most intense peaks (2θ = 10–90°), low angle first:
d 2.884, 31.01°, I = 100.0
d 2.872, 31.14°, I = 64.9
d 2.693, 33.27°, I = 81.2
d 2.515, 35.70°, I = 78.4
d 2.230, 40.44°, I = 35.4
d 1.884, 48.32°, I = 36.8
d 1.689, 54.32°, I = 41.1
d 1.456, 63.93°, I = 61.4

Structure:
```
data_PmHo2V
_cell_length_a 3.3779
_cell_length_b 3.3779
_cell_length_c 34.4676
_cell_angle_alpha 90.00
_cell_angle_beta 90.00
_cell_angle_gamma 120.00
_symmetry_space_group_name_H-M 'R -3 m'
_symmetry_Int_Tables_number 166
_symmetry_space_group_name_Hall '-R 3 2"'
loop_
_atom_site_label
_atom_site_fract_x
_atom_site_fract_y
_atom_site_fract_z
Pm1 0.0000 0.0000 0.0000
Ho1 0.0000 0.0000 0.4191
V1 0.0000 0.0000 0.5000
```